[1]
Diffraction record for LaMg3Hg3. The XRD peak list is simulated, not measured: it uses a structure optimized by DFT (GGA-PBE) and CuKα.
Kinematic intensities with the Lorentz-polarization factor, no thermal factor.

Structure:
```
LaMg3Hg3
1.0
8.817 0.000 0.000
0.000 8.817 0.000
0.000 0.000 8.817
La Mg Hg
4 12 12
Direct
0.053 0.447 0.553
0.447 0.553 0.053
0.553 0.053 0.447
0.947 0.947 0.947
0.117 0.617 0.883
0.178 0.178 0.178
0.186 0.814 0.314
0.314 0.186 0.814
0.322 0.822 0.678
0.383 0.383 0.383
0.617 0.883 0.117
0.678 0.322 0.822
0.686 0.686 0.686
0.814 0.314 0.186
0.822 0.678 0.322
0.883 0.117 0.617
0.014 0.301 0.900
0.100 0.514 0.199
0.199 0.100 0.514
0.301 0.900 0.014
0.400 0.486 0.699
0.486 0.699 0.400
0.514 0.199 0.100
0.600 0.986 0.801
0.699 0.400 0.486
0.801 0.600 0.986
0.900 0.014 0.301
0.986 0.801 0.600
```

Principal peaks in the range 2θ = 10–90°, in order of rising 2θ:
2θ/deg, Rel. int.
24.7, 90
32.1, 100
36.8, 39
38.2, 44
42.3, 41
53.0, 31

[2]
Diffraction record for Sn2H5Ir. The XRD peak list is simulated, not measured: it uses a structure optimized by DFT (GGA-PBE) and CuKα.
Kinematic intensities with the Lorentz-polarization factor, no thermal factor.

Structure:
```
Sn2H5Ir
1.0
4.673 0.000 0.000
2.231 4.158 0.000
0.062 -0.007 5.066
Sn H Ir
2 5 1
Direct
0.000 0.000 0.000
0.458 0.779 0.522
0.123 0.438 0.499
0.446 0.126 0.938
0.497 0.513 0.025
0.677 0.169 0.407
0.972 0.525 0.085
0.343 0.333 0.219
```

Principal peaks in the range 2θ = 10–90°, in order of rising 2θ:
2θ/deg, Rel. int.
17.5, 35
21.6, 32
27.7, 57
28.1, 100
41.8, 32
42.4, 34

[3]
Diffraction record for GaI. The XRD peak list is simulated, not measured: it uses a structure optimized by DFT (GGA-PBE) and CuKα.
Kinematic intensities with the Lorentz-polarization factor, no thermal factor.

Structure:
```
GaI
1.0
8.349 0.000 0.000
0.000 4.514 0.000
0.000 0.000 7.819
Ga I
4 4
Direct
0.244 0.250 0.083
0.256 0.750 0.583
0.744 0.250 0.417
0.756 0.750 0.917
0.000 0.250 0.751
0.000 0.750 0.249
0.500 0.250 0.749
0.500 0.750 0.251
```

Principal peaks in the range 2θ = 10–90°, in order of rising 2θ:
2θ/deg, Rel. int.
22.7, 34
25.2, 27
31.3, 100
39.9, 39
51.6, 24
60.4, 22

[4]
Diffraction record for La5Ho2. The XRD peak list is simulated, not measured: it uses a structure optimized by DFT (GGA-PBE) and CuKα.
Kinematic intensities with the Lorentz-polarization factor, no thermal factor.

Structure:
```
La5Ho2
1.0
4.983 -2.959 0.000
4.983 2.959 0.000
-3.651 0.000 8.440
La Ho
5 2
Direct
0.000 0.000 0.000
0.161 0.161 0.471
0.426 0.426 0.287
0.574 0.574 0.713
0.839 0.839 0.529
0.298 0.298 0.885
0.702 0.702 0.115
```

Principal peaks in the range 2θ = 10–90°, in order of rising 2θ:
2θ/deg, Rel. int.
30.0, 47
30.2, 53
30.6, 86
30.9, 100
43.1, 35
53.9, 36

[5]
Diffraction record for Rb2PrIrO4. The XRD peak list is simulated, not measured: it uses a structure optimized by DFT (GGA-PBE) and CuKα.
Kinematic intensities with the Lorentz-polarization factor, no thermal factor.

Structure:
```
Rb2PrIrO4
1.0
-3.237 3.237 3.721
3.237 -3.237 3.721
3.237 3.237 -3.721
Rb Pr Ir O
2 1 1 4
Direct
0.000 0.000 0.000
0.750 0.250 0.500
0.250 0.750 0.500
0.500 0.500 0.000
0.278 0.407 0.593
0.314 0.722 0.129
0.593 0.185 0.871
0.815 0.686 0.407
```

Principal peaks in the range 2θ = 10–90°, in order of rising 2θ:
2θ/deg, Rel. int.
18.2, 26
27.6, 58
31.0, 100
39.4, 28
50.9, 52
57.1, 17

[6]
Diffraction record for ThAsRhSe. The XRD peak list is simulated, not measured: it uses a structure optimized by DFT (GGA-PBE) and CuKα.
Kinematic intensities with the Lorentz-polarization factor, no thermal factor.

Structure:
```
ThAsRhSe
1.0
4.205 0.000 0.000
0.000 4.205 0.000
0.000 0.000 9.358
Th As Rh Se
2 2 2 2
Direct
0.250 0.250 0.238
0.750 0.750 0.762
0.250 0.250 0.661
0.750 0.750 0.339
0.250 0.750 0.500
0.750 0.250 0.500
0.250 0.750 0.000
0.750 0.250 0.000
```

Principal peaks in the range 2θ = 10–90°, in order of rising 2θ:
2θ/deg, Rel. int.
23.2, 29
35.8, 100
43.0, 29
57.2, 11
59.1, 12
74.1, 22

[7]
Diffraction record for CsInAg2Cl6. The XRD peak list is simulated, not measured: it uses a structure optimized by DFT (GGA-PBE) and CuKα.
Kinematic intensities with the Lorentz-polarization factor, no thermal factor.

Structure:
```
CsInAg2Cl6
1.0
7.100 0.000 0.000
-3.546 6.157 0.000
-3.543 -2.049 6.551
Cs In Ag Cl
1 1 2 6
Direct
0.000 0.000 0.000
0.921 0.461 0.381
0.535 0.268 0.803
0.590 0.796 0.386
0.069 0.488 0.129
0.078 0.231 0.592
0.361 0.846 0.592
0.548 0.061 0.130
0.643 0.583 0.131
0.747 0.515 0.593
```

Principal peaks in the range 2θ = 10–90°, in order of rising 2θ:
2θ/deg, Rel. int.
17.0, 43
23.2, 92
25.1, 100
34.4, 45
37.3, 73
44.2, 45

[8]
Diffraction record for Na6LiTl12. The XRD peak list is simulated, not measured: it uses a structure optimized by DFT (GGA-PBE) and CuKα.
Kinematic intensities with the Lorentz-polarization factor, no thermal factor.

Structure:
```
Na6LiTl12
1.0
5.963 3.443 4.471
-5.963 3.443 4.471
0.000 -6.885 4.471
Na Li Tl
6 1 12
Direct
0.216 0.381 0.763
0.237 0.784 0.619
0.381 0.763 0.216
0.619 0.237 0.784
0.763 0.216 0.381
0.784 0.619 0.237
0.500 0.500 0.500
0.036 0.955 0.296
0.045 0.704 0.964
0.138 0.455 0.365
0.296 0.036 0.955
0.365 0.138 0.455
0.455 0.365 0.138
0.545 0.635 0.862
0.635 0.862 0.545
0.704 0.964 0.045
0.862 0.545 0.635
0.955 0.296 0.036
0.964 0.045 0.704
```

Principal peaks in the range 2θ = 10–90°, in order of rising 2θ:
2θ/deg, Rel. int.
23.7, 79
31.9, 99
32.8, 84
34.0, 100
34.5, 79
35.3, 63

[9]
Diffraction record for La3Nd3Y. The XRD peak list is simulated, not measured: it uses a structure optimized by DFT (GGA-PBE) and CuKα.
Kinematic intensities with the Lorentz-polarization factor, no thermal factor.

Structure:
```
La3Nd3Y
1.0
9.893 0.000 0.000
-4.946 8.567 0.000
0.000 0.000 5.951
La Nd Y
6 6 2
Direct
0.045 0.804 0.250
0.196 0.241 0.250
0.241 0.045 0.750
0.759 0.955 0.250
0.804 0.759 0.750
0.955 0.196 0.750
0.095 0.616 0.750
0.384 0.479 0.750
0.479 0.095 0.250
0.521 0.905 0.750
0.616 0.521 0.250
0.905 0.384 0.250
0.333 0.667 0.250
0.667 0.333 0.750
```

Principal peaks in the range 2θ = 10–90°, in order of rising 2θ:
2θ/deg, Rel. int.
27.5, 24
30.0, 25
31.5, 100
48.7, 20
54.2, 21
58.3, 23

[10]
Diffraction record for Ta2Te2MoSe4. The XRD peak list is simulated, not measured: it uses a structure optimized by DFT (GGA-PBE) and CuKα.
Kinematic intensities with the Lorentz-polarization factor, no thermal factor.

Structure:
```
Ta2Te2MoSe4
1.0
3.496 0.000 0.000
-1.748 3.028 0.000
0.000 0.000 21.951
Ta Te Mo Se
2 2 1 4
Direct
0.000 0.000 0.000
0.333 0.667 0.318
0.000 0.000 0.590
0.000 0.000 0.758
0.333 0.667 0.674
0.000 0.000 0.242
0.000 0.000 0.394
0.333 0.667 0.076
0.333 0.667 0.924
```

Principal peaks in the range 2θ = 10–90°, in order of rising 2θ:
2θ/deg, Rel. int.
12.1, 100
29.5, 43
33.8, 21
36.0, 81
44.6, 44
52.3, 33